This entry pairs a crystal structure of Li2Ti3ZnO8 with its calculated powder diffractogram. Radiation: Cu Kα, 1.54184 Å. Structure: a crystal structure in the Materials Project, relaxed with PBE.
No peak broadening, texture or thermal motion is included.

Atomic structure:
```
56
Lattice="8.447 0.000 0.000 0.000 8.447 0.000 0.000 0.000 8.447" Properties=species:S:1:pos:R:3 pbc="T T T"
Li 0.018 4.206 4.241
Li 1.054 7.393 3.169
Li 3.169 1.054 7.393
Li 4.206 4.241 0.018
Li 4.241 0.018 4.206
Li 5.278 5.278 5.278
Li 7.393 3.169 1.054
Li 8.429 8.429 8.429
Ti 1.017 5.299 1.140
Ti 1.076 3.084 7.430
Ti 1.140 1.017 5.299
Ti 3.084 7.430 1.076
Ti 3.148 5.363 3.207
Ti 3.207 3.148 5.363
Ti 5.240 7.371 7.307
Ti 5.299 1.140 1.017
Ti 5.363 3.207 3.148
Ti 7.307 5.240 7.371
Ti 7.371 7.307 5.240
Ti 7.430 1.076 3.084
Zn 2.094 6.317 6.353
Zn 2.130 2.130 2.130
Zn 6.317 6.353 2.094
Zn 6.353 2.094 6.317
O 0.904 1.075 3.292
O 0.932 7.543 5.298
O 0.947 5.170 7.500
O 1.040 1.220 7.252
O 1.075 3.292 0.904
O 1.173 3.050 5.397
O 1.194 5.263 3.003
O 1.220 7.252 1.040
O 3.003 1.194 5.263
O 3.029 3.184 7.227
O 3.050 5.397 1.173
O 3.149 5.155 5.128
O 3.184 7.227 3.029
O 3.277 3.277 3.277
O 3.292 0.904 1.075
O 3.319 7.372 7.515
O 5.128 3.149 5.155
O 5.155 5.128 3.149
O 5.170 7.500 0.947
O 5.263 3.003 1.194
O 5.298 0.932 7.543
O 5.397 1.173 3.050
O 5.418 7.407 5.443
O 5.443 5.418 7.407
O 7.227 3.029 3.184
O 7.252 1.040 1.220
O 7.274 7.274 7.274
O 7.372 7.515 3.319
O 7.407 5.443 5.418
O 7.500 0.947 5.170
O 7.515 3.319 7.372
O 7.543 5.298 0.932
```

Principal peaks in the range 2θ = 15–90°, sorted by position:
- 18.19°, 4.877 Å, I 34, (1 1 1)
- 21.03°, 4.223 Å, I 28, (2 0 0)
- 23.55°, 3.778 Å, I 18, (2 0 1)
- 25.84°, 3.448 Å, I 12, (2 1 1)
- 29.92°, 2.986 Å, I 28, (2 2 0)
- 35.24°, 2.547 Å, I 100, (3 1 1)
- 42.82°, 2.112 Å, I 28, (4 0 0)
- 56.62°, 1.626 Å, I 40, (5 1 1)
- 62.17°, 1.493 Å, I 50, (4 4 0)
- 89.02°, 1.100 Å, I 16, (5 5 3)